# 1
LaHoEr14: simulated powder diffractogram (Cu Kα (weighted mean of Kα1 and Kα2)), based on a DFT-relaxed cell (PBE, Alexandria).
Kinematic intensities with the Lorentz-polarization factor, no thermal factor.

Structural model:
a = 11.392 Å, b = 7.083 Å, c = 7.083 Å
α = 60.04°, β = 90.00°, γ = 90.00°
Fractional positions:
La 0.000 0.000 0.000
Ho 0.000 0.500 0.500
Er 0.000 0.000 0.500
Er 0.000 0.500 0.000
Er 0.250 0.667 0.667
Er 0.253 0.168 0.168
Er 0.254 0.168 0.666
Er 0.254 0.666 0.168
Er 0.500 0.334 0.334
Er 0.500 0.335 0.834
Er 0.500 0.834 0.335
Er 0.500 0.834 0.834
Er 0.746 0.168 0.666
Er 0.746 0.666 0.168
Er 0.747 0.168 0.168
Er 0.750 0.667 0.667

The 6 most intense peaks (2θ = 5–70°), low angle first:
d 2.962, intensity 41
d 2.848, intensity 34
d 2.701, intensity 100
d 2.386, intensity 23
d 1.771, intensity 26
d 1.504, intensity 30

***

# 2
Pu2Al3Ge4: simulated powder diffractogram (Cu Kα (weighted mean of Kα1 and Kα2)), based on a DFT-relaxed cell (PBE, Alexandria).
Kinematic intensities with the Lorentz-polarization factor, no thermal factor.

Structural model:
a = 7.992 Å, b = 7.992 Å, c = 7.928 Å
α = 90.00°, β = 90.00°, γ = 136.87°
Fractional positions:
Pu 0.114 0.886 0.926
Pu 0.386 0.614 0.426
Pu 0.614 0.386 0.574
Pu 0.886 0.114 0.074
Al 0.000 0.000 0.500
Al 0.032 0.468 0.750
Al 0.468 0.032 0.250
Al 0.500 0.500 0.000
Al 0.532 0.968 0.750
Al 0.968 0.532 0.250
Ge 0.183 0.817 0.552
Ge 0.203 0.297 0.750
Ge 0.297 0.203 0.250
Ge 0.317 0.683 0.052
Ge 0.683 0.317 0.948
Ge 0.703 0.797 0.750
Ge 0.797 0.703 0.250
Ge 0.817 0.183 0.448

The 6 most intense peaks (2θ = 5–70°), low angle first:
d 4.499, intensity 79
d 2.738, intensity 55
d 2.583, intensity 48
d 2.516, intensity 100
d 2.490, intensity 76
d 2.361, intensity 80

***

# 3
Ho8Cu2Bi: simulated powder diffractogram (Cu Kα (weighted mean of Kα1 and Kα2)), based on a DFT-relaxed cell (PBE, Alexandria).
Kinematic intensities with the Lorentz-polarization factor, no thermal factor.

Structural model:
a = 7.981 Å, b = 7.981 Å, c = 5.427 Å
α = 98.09°, β = 98.09°, γ = 113.75°
Fractional positions:
Ho 0.081 0.335 0.595
Ho 0.246 0.754 0.000
Ho 0.335 0.081 0.595
Ho 0.399 0.399 0.201
Ho 0.601 0.601 0.799
Ho 0.665 0.919 0.405
Ho 0.754 0.246 0.000
Ho 0.919 0.665 0.405
Cu 0.305 0.695 0.500
Cu 0.695 0.305 0.500
Bi 0.000 0.000 0.000

The 6 most intense peaks (2θ = 5–70°), low angle first:
d 2.936, intensity 75
d 2.818, intensity 94
d 2.735, intensity 71
d 2.655, intensity 55
d 2.619, intensity 100
d 2.376, intensity 36

***

# 4
Pr5YHo12: simulated powder diffractogram (Cu Kα (weighted mean of Kα1 and Kα2)), based on a DFT-relaxed cell (PBE, Alexandria).
Kinematic intensities with the Lorentz-polarization factor, no thermal factor.

Structural model:
a = 10.472 Å, b = 10.472 Å, c = 5.765 Å
α = 90.00°, β = 90.00°, γ = 111.89°
Fractional positions:
Pr 0.000 0.000 0.000
Pr 0.141 0.859 0.500
Pr 0.362 0.638 0.000
Pr 0.638 0.362 0.000
Pr 0.859 0.141 0.500
Y 0.500 0.500 0.500
Ho 0.024 0.666 0.000
Ho 0.165 0.521 0.500
Ho 0.200 0.200 0.500
Ho 0.302 0.302 0.000
Ho 0.334 0.976 0.000
Ho 0.479 0.835 0.500
Ho 0.521 0.165 0.500
Ho 0.666 0.024 0.000
Ho 0.698 0.698 0.000
Ho 0.800 0.800 0.500
Ho 0.835 0.479 0.500
Ho 0.976 0.334 0.000

The 6 most intense peaks (2θ = 5–70°), low angle first:
d 2.892, intensity 23
d 2.882, intensity 42
d 2.824, intensity 100
d 2.042, intensity 17
d 1.653, intensity 20
d 1.619, intensity 13

***

# 5
K3Mg2Cd7: simulated powder diffractogram (Cu Kα (weighted mean of Kα1 and Kα2)), based on a DFT-relaxed cell (PBE, Alexandria).
Kinematic intensities with the Lorentz-polarization factor, no thermal factor.

Structural model:
a = 10.661 Å, b = 10.661 Å, c = 10.661 Å
α = 34.38°, β = 34.38°, γ = 34.38°
Fractional positions:
K 0.000 0.000 0.000
K 0.143 0.143 0.143
K 0.857 0.857 0.857
Mg 0.334 0.334 0.334
Mg 0.666 0.666 0.666
Cd 0.078 0.584 0.584
Cd 0.416 0.416 0.922
Cd 0.416 0.922 0.416
Cd 0.500 0.500 0.500
Cd 0.584 0.078 0.584
Cd 0.584 0.584 0.078
Cd 0.922 0.416 0.416

The 6 most intense peaks (2θ = 5–70°), low angle first:
d 5.370, intensity 70
d 5.011, intensity 61
d 2.718, intensity 67
d 2.667, intensity 100
d 2.485, intensity 83
d 2.303, intensity 57

***

# 6
LaTb7Ho3: simulated powder diffractogram (Cu Kα (weighted mean of Kα1 and Kα2)), based on a DFT-relaxed cell (PBE, Alexandria).
Kinematic intensities with the Lorentz-polarization factor, no thermal factor.

Structural model:
a = 7.085 Å, b = 7.085 Å, c = 8.631 Å
α = 90.00°, β = 90.00°, γ = 120.00°
Fractional positions:
La 0.000 0.000 0.000
Tb 0.003 0.501 0.995
Tb 0.331 0.166 0.331
Tb 0.333 0.667 0.326
Tb 0.499 0.501 0.995
Tb 0.499 0.997 0.995
Tb 0.834 0.166 0.331
Tb 0.834 0.669 0.331
Ho 0.168 0.335 0.660
Ho 0.168 0.832 0.660
Ho 0.665 0.832 0.660

The 6 most intense peaks (2θ = 5–70°), low angle first:
d 2.891, intensity 100
d 2.877, intensity 33
d 2.501, intensity 67
d 1.771, intensity 24
d 1.765, intensity 24
d 1.509, intensity 42

***

# 7
SnGe2Te2Se: simulated powder diffractogram (Cu Kα (weighted mean of Kα1 and Kα2)), based on a DFT-relaxed cell (PBE, Alexandria).
Kinematic intensities with the Lorentz-polarization factor, no thermal factor.

Structural model:
a = 8.289 Å, b = 8.289 Å, c = 6.214 Å
α = 90.00°, β = 90.00°, γ = 88.02°
Fractional positions:
Sn 0.169 0.831 0.500
Sn 0.831 0.169 0.000
Ge 0.158 0.518 0.986
Ge 0.482 0.842 0.986
Ge 0.518 0.158 0.486
Ge 0.842 0.482 0.486
Te 0.175 0.477 0.452
Te 0.477 0.175 0.952
Te 0.523 0.825 0.452
Te 0.825 0.523 0.952
Se 0.174 0.826 0.965
Se 0.826 0.174 0.465

The 6 most intense peaks (2θ = 5–70°), low angle first:
d 5.759, intensity 73
d 3.757, intensity 60
d 3.107, intensity 68
d 2.761, intensity 100
d 2.394, intensity 35
d 2.064, intensity 81

***

# 8
TbPr2Tm4Th: simulated powder diffractogram (Cu Kα (weighted mean of Kα1 and Kα2)), based on a DFT-relaxed cell (PBE, Alexandria).
Kinematic intensities with the Lorentz-polarization factor, no thermal factor.

Structural model:
a = 5.085 Å, b = 5.097 Å, c = 9.890 Å
α = 90.00°, β = 90.00°, γ = 90.00°
Fractional positions:
Tb 0.000 0.000 0.000
Pr 0.000 0.000 0.500
Pr 0.500 0.500 0.000
Tm 0.000 0.500 0.253
Tm 0.000 0.500 0.747
Tm 0.500 0.000 0.253
Tm 0.500 0.000 0.747
Th 0.500 0.500 0.500

The 6 most intense peaks (2θ = 5–70°), low angle first:
d 2.910, intensity 100
d 2.545, intensity 35
d 2.472, intensity 16
d 1.774, intensity 24
d 1.532, intensity 15
d 1.529, intensity 15

***

# 9
Nd7Tl2N: simulated powder diffractogram (Cu Kα (weighted mean of Kα1 and Kα2)), based on a DFT-relaxed cell (PBE, Alexandria).
Kinematic intensities with the Lorentz-polarization factor, no thermal factor.

Structural model:
a = 7.487 Å, b = 7.487 Å, c = 7.487 Å
α = 60.00°, β = 60.00°, γ = 60.00°
Fractional positions:
Nd 0.000 0.000 0.000
Nd 0.270 0.270 0.730
Nd 0.270 0.730 0.270
Nd 0.270 0.730 0.730
Nd 0.730 0.270 0.270
Nd 0.730 0.270 0.730
Nd 0.730 0.730 0.270
Tl 0.250 0.250 0.250
Tl 0.750 0.750 0.750
N 0.500 0.500 0.500

The 6 most intense peaks (2θ = 5–70°), low angle first:
d 3.744, intensity 17
d 3.057, intensity 100
d 2.647, intensity 84
d 1.872, intensity 58
d 1.596, intensity 40
d 1.528, intensity 19

***

# 10
Dy5Er4Tm2: simulated powder diffractogram (Cu Kα (weighted mean of Kα1 and Kα2)), based on a DFT-relaxed cell (PBE, Alexandria).
Kinematic intensities with the Lorentz-polarization factor, no thermal factor.

Structural model:
a = 12.448 Å, b = 12.448 Å, c = 12.448 Å
α = 164.02°, β = 138.07°, γ = 45.15°
Fractional positions:
Dy 0.000 0.000 0.000
Dy 0.054 0.355 0.699
Dy 0.344 0.645 0.699
Dy 0.656 0.355 0.301
Dy 0.946 0.645 0.301
Er 0.311 0.500 0.811
Er 0.403 0.903 0.500
Er 0.597 0.097 0.500
Er 0.689 0.500 0.189
Tm 0.269 0.769 0.500
Tm 0.731 0.231 0.500

The 6 most intense peaks (2θ = 5–70°), low angle first:
d 3.106, intensity 41
d 2.905, intensity 54
d 2.769, intensity 68
d 2.714, intensity 100
d 2.382, intensity 48
d 1.485, intensity 39

***

# 11
LaHF: simulated powder diffractogram (Cu Kα (weighted mean of Kα1 and Kα2)), based on a DFT-relaxed cell (PBE, Alexandria).
Kinematic intensities with the Lorentz-polarization factor, no thermal factor.

Structural model:
a = 7.191 Å, b = 7.191 Å, c = 7.191 Å
α = 32.40°, β = 32.40°, γ = 32.40°
Fractional positions:
La 0.241 0.241 0.241
La 0.759 0.759 0.759
H 0.124 0.124 0.124
H 0.876 0.876 0.876
F 0.370 0.370 0.370
F 0.630 0.630 0.630

The 6 most intense peaks (2θ = 5–70°), low angle first:
d 3.404, intensity 31
d 3.290, intensity 100
d 2.873, intensity 46
d 2.057, intensity 30
d 2.006, intensity 32
d 1.728, intensity 27

***

# 12
Nd2Si2PbSe8: simulated powder diffractogram (Cu Kα (weighted mean of Kα1 and Kα2)), based on a DFT-relaxed cell (PBE, Alexandria).
Kinematic intensities with the Lorentz-polarization factor, no thermal factor.

Structural model:
a = 9.393 Å, b = 9.393 Å, c = 10.674 Å
α = 114.50°, β = 114.50°, γ = 60.87°
Fractional positions:
Nd 0.057 0.943 0.500
Nd 0.246 0.443 0.993
Nd 0.443 0.246 0.493
Nd 0.943 0.057 0.000
Si 0.173 0.649 0.723
Si 0.323 0.856 0.265
Si 0.649 0.173 0.223
Si 0.856 0.323 0.765
Pb 0.584 0.745 0.984
Pb 0.745 0.584 0.484
Se 0.084 0.263 0.697
Se 0.087 0.792 0.187
Se 0.100 0.582 0.478
Se 0.227 0.890 0.813
Se 0.263 0.084 0.197
Se 0.402 0.422 0.792
Se 0.403 0.933 0.510
Se 0.422 0.402 0.292
Se 0.520 0.618 0.162
Se 0.582 0.100 0.978
Se 0.618 0.520 0.662
Se 0.705 0.962 0.314
Se 0.792 0.087 0.687
Se 0.890 0.227 0.313
Se 0.933 0.403 0.010
Se 0.962 0.705 0.814

The 6 most intense peaks (2θ = 5–70°), low angle first:
d 4.240, intensity 100
d 4.155, intensity 48
d 2.735, intensity 71
d 2.628, intensity 64
d 2.609, intensity 56
d 2.569, intensity 55

***

# 13
Tb3NdTl4Te8: simulated powder diffractogram (Cu Kα (weighted mean of Kα1 and Kα2)), based on a DFT-relaxed cell (PBE, Alexandria).
Kinematic intensities with the Lorentz-polarization factor, no thermal factor.

Structural model:
a = 9.689 Å, b = 9.689 Å, c = 9.689 Å
α = 55.25°, β = 55.25°, γ = 55.25°
Fractional positions:
Tb 0.000 0.500 0.500
Tb 0.500 0.000 0.500
Tb 0.500 0.500 0.000
Nd 0.000 0.000 0.000
Tl 0.000 0.000 0.500
Tl 0.000 0.500 0.000
Tl 0.500 0.000 0.000
Tl 0.500 0.500 0.500
Te 0.242 0.242 0.733
Te 0.242 0.733 0.242
Te 0.262 0.262 0.262
Te 0.267 0.758 0.758
Te 0.733 0.242 0.242
Te 0.738 0.738 0.738
Te 0.758 0.267 0.758
Te 0.758 0.758 0.267

The 6 most intense peaks (2θ = 5–70°), low angle first:
d 3.286, intensity 100
d 2.410, intensity 39
d 2.246, intensity 36
d 1.855, intensity 20
d 1.513, intensity 16
d 1.430, intensity 17